# ErTm2Sn3Pd3
Theoretical powder X-ray diffraction pattern, Cu Kα (λ = 1.5418 Å). Input: the PBE geometry in OQMD.

Structure:
```
ErTm2Sn3Pd3
1.0
3.827 0.000 0.000
0.000 6.603 3.807
0.000 -6.603 3.807
Er Tm Sn Pd
1 2 3 3
Direct
0.000 0.000 0.000 Er
0.000 0.197 0.599 Tm
0.000 0.599 0.197 Tm
0.500 0.334 0.334 Sn
0.500 0.598 0.863 Sn
0.500 0.863 0.598 Sn
0.000 0.598 0.598 Pd
0.500 0.266 0.932 Pd
0.500 0.932 0.266 Pd
```

Principal peaks in the range 2θ from 5° to 70°, by angle:
| 2θ/deg | d_spacing | I_rel |
| --- | --- | --- |
| 33.18 | 2.700 | 100 |
| 35.96 | 2.498 | 100 |
| 41.04 | 2.199 | 41 |
| 47.52 | 1.913 | 21 |
| 64.56 | 1.444 | 21 |
| 66.42 | 1.408 | 30 |

***

# TbCuTeS
Theoretical powder X-ray diffraction pattern, Cu Kα (λ = 1.5418 Å). Input: the PBE geometry in OQMD.

Structure:
```
TbCuTeS
1.0
6.316 0.000 0.000
0.000 7.470 0.000
-0.417 0.000 7.394
Tb Cu Te S
4 4 4 4
Direct
0.141 0.023 0.273 Tb
0.141 0.477 0.773 Tb
0.859 0.523 0.227 Tb
0.859 0.977 0.727 Tb
0.426 0.658 0.464 Cu
0.426 0.842 0.964 Cu
0.574 0.158 0.036 Cu
0.574 0.342 0.536 Cu
0.373 0.108 0.719 Te
0.373 0.392 0.219 Te
0.627 0.608 0.781 Te
0.627 0.892 0.281 Te
0.078 0.730 0.500 S
0.078 0.770 0.000 S
0.922 0.230 0.000 S
0.922 0.270 0.500 S
```

Principal peaks in the range 2θ from 5° to 70°, by angle:
| 2θ/deg | d_spacing | I_rel |
| --- | --- | --- |
| 24.07 | 3.697 | 38 |
| 30.00 | 2.979 | 36 |
| 31.12 | 2.874 | 34 |
| 32.53 | 2.753 | 100 |
| 33.73 | 2.657 | 57 |
| 34.13 | 2.627 | 57 |

***

# RbFeCuS3
Theoretical powder X-ray diffraction pattern, Cu Kα (λ = 1.5418 Å). Input: the PBE geometry in OQMD.

Structure:
```
RbFeCuS3
1.0
14.598 0.000 0.000
0.000 3.570 0.000
0.000 0.000 9.369
Rb Fe Cu S
4 4 4 12
Direct
0.239 0.250 0.050 Rb
0.261 0.750 0.550 Rb
0.739 0.250 0.450 Rb
0.761 0.750 0.950 Rb
0.014 0.250 0.337 Fe
0.486 0.750 0.837 Fe
0.514 0.250 0.163 Fe
0.986 0.750 0.663 Fe
0.013 0.750 0.096 Cu
0.487 0.250 0.596 Cu
0.513 0.750 0.404 Cu
0.987 0.250 0.904 Cu
0.068 0.250 0.568 S
0.083 0.750 0.861 S
0.112 0.750 0.279 S
0.388 0.250 0.779 S
0.417 0.250 0.361 S
0.432 0.750 0.068 S
0.568 0.250 0.932 S
0.583 0.750 0.639 S
0.612 0.750 0.221 S
0.888 0.250 0.721 S
0.917 0.250 0.139 S
0.932 0.750 0.432 S
```

Principal peaks in the range 2θ from 5° to 70°, by angle:
| 2θ/deg | d_spacing | I_rel |
| --- | --- | --- |
| 12.13 | 7.299 | 100 |
| 24.39 | 3.649 | 54 |
| 32.55 | 2.751 | 100 |
| 36.65 | 2.452 | 49 |
| 40.31 | 2.237 | 49 |
| 44.51 | 2.035 | 36 |

***

# ScCo2Sb
Theoretical powder X-ray diffraction pattern, Cu Kα (λ = 1.5418 Å). Input: the PBE geometry in OQMD.

Structure:
```
ScCo2Sb
1.0
0.000 3.141 3.141
3.141 0.000 3.141
3.141 3.141 0.000
Sc Co Sb
1 2 1
Direct
0.000 0.000 0.000 Sc
0.250 0.250 0.250 Co
0.500 0.500 0.500 Co
0.750 0.750 0.750 Sb
```

Principal peaks in the range 2θ from 5° to 70°, by angle:
| 2θ/deg | d_spacing | I_rel |
| --- | --- | --- |
| 24.54 | 3.627 | 11 |
| 28.41 | 3.141 | 9 |
| 40.62 | 2.221 | 100 |
| 48.03 | 1.894 | 6 |
| 58.79 | 1.571 | 16 |
| 66.56 | 1.405 | 3 |

***

# Lu4CoAsN2
Theoretical powder X-ray diffraction pattern, Cu Kα (λ = 1.5418 Å). Input: the PBE geometry in OQMD.

Structure:
```
Lu4CoAsN2
1.0
3.398 0.000 0.000
-1.699 2.943 0.000
0.000 0.000 13.473
Lu Co As N
4 1 1 2
Direct
0.000 0.000 0.142 Lu
0.000 0.000 0.858 Lu
0.667 0.333 0.343 Lu
0.667 0.333 0.657 Lu
0.667 0.333 0.000 Co
0.000 0.000 0.500 As
0.333 0.667 0.256 N
0.333 0.667 0.744 N
```

Principal peaks in the range 2θ from 5° to 70°, by angle:
| 2θ/deg | d_spacing | I_rel |
| --- | --- | --- |
| 30.37 | 2.943 | 26 |
| 31.10 | 2.875 | 18 |
| 36.50 | 2.462 | 100 |
| 53.96 | 1.699 | 25 |
| 66.91 | 1.398 | 17 |
| 69.35 | 1.355 | 14 |

***

# Gd2HoFeNi8
Theoretical powder X-ray diffraction pattern, Cu Kα (λ = 1.5418 Å). Input: the PBE geometry in OQMD.

Structure:
```
Gd2HoFeNi8
1.0
2.485 1.435 8.090
-2.485 1.435 8.090
0.000 -2.869 8.090
Gd Ho Fe Ni
2 1 1 8
Direct
0.139 0.139 0.139 Gd
0.861 0.861 0.861 Gd
0.000 0.000 0.000 Ho
0.500 0.500 0.500 Fe
0.082 0.582 0.582 Ni
0.333 0.333 0.333 Ni
0.418 0.418 0.918 Ni
0.418 0.918 0.418 Ni
0.582 0.082 0.582 Ni
0.582 0.582 0.082 Ni
0.667 0.667 0.667 Ni
0.918 0.418 0.418 Ni
```

Principal peaks in the range 2θ from 5° to 70°, by angle:
| 2θ/deg | d_spacing | I_rel |
| --- | --- | --- |
| 33.18 | 2.700 | 51 |
| 36.18 | 2.483 | 89 |
| 42.15 | 2.144 | 39 |
| 42.70 | 2.118 | 100 |
| 46.19 | 1.966 | 26 |
| 65.04 | 1.434 | 23 |

***

# Rb2LiHfI6
Theoretical powder X-ray diffraction pattern, Cu Kα (λ = 1.5418 Å). Input: the PBE geometry in OQMD.

Structure:
```
Rb2LiHfI6
1.0
0.000 5.859 5.859
5.859 0.000 5.859
5.859 5.859 0.000
Rb Li Hf I
2 1 1 6
Direct
0.250 0.250 0.250 Rb
0.750 0.750 0.750 Rb
0.000 0.000 0.000 Li
0.500 0.500 0.500 Hf
0.253 0.253 0.747 I
0.253 0.747 0.253 I
0.253 0.747 0.747 I
0.747 0.253 0.253 I
0.747 0.253 0.747 I
0.747 0.747 0.253 I
```

Principal peaks in the range 2θ from 5° to 70°, by angle:
| 2θ/deg | d_spacing | I_rel |
| --- | --- | --- |
| 13.09 | 6.766 | 27 |
| 15.12 | 5.859 | 30 |
| 26.35 | 3.383 | 89 |
| 30.51 | 2.930 | 100 |
| 43.70 | 2.072 | 74 |
| 51.75 | 1.767 | 40 |

***

# CuH6C2SeI
Theoretical powder X-ray diffraction pattern, Cu Kα (λ = 1.5418 Å). Input: the PBE geometry in OQMD.

Structure:
```
CuH6C2SeI
1.0
7.634 0.000 0.000
0.000 7.143 0.000
-0.438 0.000 11.312
Cu H C Se I
4 24 8 4 4
Direct
0.002 0.044 0.380 Cu
0.002 0.456 0.880 Cu
0.998 0.544 0.120 Cu
0.998 0.956 0.620 Cu
0.105 0.581 0.431 H
0.105 0.919 0.931 H
0.279 0.504 0.339 H
0.279 0.996 0.839 H
0.310 0.709 0.434 H
0.310 0.791 0.934 H
0.331 0.525 0.634 H
0.331 0.975 0.134 H
0.415 0.741 0.159 H
0.415 0.759 0.659 H
0.428 0.586 0.776 H
0.428 0.914 0.276 H
0.572 0.086 0.724 H
0.572 0.414 0.224 H
0.585 0.241 0.341 H
0.585 0.259 0.841 H
0.669 0.025 0.866 H
0.669 0.475 0.366 H
0.690 0.209 0.066 H
0.690 0.291 0.566 H
0.721 0.004 0.161 H
0.721 0.496 0.661 H
0.895 0.081 0.069 H
0.895 0.419 0.569 H
0.216 0.625 0.379 C
0.216 0.875 0.879 C
0.352 0.637 0.699 C
0.352 0.863 0.199 C
0.648 0.137 0.801 C
0.648 0.363 0.301 C
0.784 0.125 0.121 C
0.784 0.375 0.621 C
0.121 0.712 0.753 Se
0.121 0.788 0.253 Se
0.879 0.212 0.747 Se
0.879 0.288 0.247 Se
0.256 0.141 0.526 I
0.256 0.359 0.026 I
0.744 0.641 0.974 I
0.744 0.859 0.474 I
```

Principal peaks in the range 2θ from 5° to 70°, by angle:
| 2θ/deg | d_spacing | I_rel |
| --- | --- | --- |
| 11.60 | 7.628 | 83 |
| 14.67 | 6.040 | 100 |
| 22.89 | 3.885 | 72 |
| 23.51 | 3.784 | 50 |
| 28.58 | 3.123 | 32 |
| 36.34 | 2.472 | 34 |

***

# CdH12C2S2N8Cl2
Theoretical powder X-ray diffraction pattern, Cu Kα (λ = 1.5418 Å). Input: the PBE geometry in OQMD.

Structure:
```
CdH12C2S2N8Cl2
1.0
8.724 0.000 0.000
0.000 5.732 0.000
-7.283 0.000 11.727
Cd H C S N Cl
2 24 4 4 16 4
Direct
0.000 0.000 0.000 Cd
0.000 0.500 0.500 Cd
0.178 0.226 0.402 H
0.178 0.274 0.902 H
0.248 0.642 0.372 H
0.248 0.858 0.872 H
0.261 0.660 0.098 H
0.261 0.840 0.598 H
0.273 0.155 0.741 H
0.273 0.345 0.241 H
0.291 0.701 0.785 H
0.291 0.799 0.285 H
0.473 0.147 0.473 H
0.473 0.353 0.973 H
0.527 0.647 0.027 H
0.527 0.853 0.527 H
0.709 0.201 0.715 H
0.709 0.299 0.215 H
0.727 0.655 0.759 H
0.727 0.845 0.259 H
0.739 0.160 0.402 H
0.739 0.340 0.902 H
0.752 0.142 0.128 H
0.752 0.358 0.628 H
0.822 0.726 0.098 H
0.822 0.774 0.598 H
0.376 0.147 0.047 C
0.376 0.353 0.547 C
0.624 0.647 0.453 C
0.624 0.853 0.953 C
0.440 0.534 0.667 S
0.440 0.966 0.167 S
0.560 0.034 0.833 S
0.560 0.466 0.333 S
0.207 0.150 0.963 N
0.207 0.350 0.463 N
0.257 0.685 0.635 N
0.257 0.815 0.135 N
0.310 0.711 0.866 N
0.310 0.789 0.366 N
0.495 0.717 0.951 N
0.495 0.783 0.451 N
0.505 0.217 0.549 N
0.505 0.283 0.049 N
0.690 0.211 0.634 N
0.690 0.289 0.134 N
0.743 0.185 0.865 N
0.743 0.315 0.365 N
0.793 0.650 0.537 N
0.793 0.850 0.037 N
0.095 0.164 0.686 Cl
0.095 0.336 0.186 Cl
0.905 0.664 0.814 Cl
0.905 0.836 0.314 Cl
```

Principal peaks in the range 2θ from 5° to 70°, by angle:
| 2θ/deg | d_spacing | I_rel |
| --- | --- | --- |
| 13.43 | 6.592 | 46 |
| 17.22 | 5.150 | 100 |
| 24.81 | 3.588 | 80 |
| 30.50 | 2.931 | 31 |
| 32.89 | 2.723 | 29 |
| 34.81 | 2.577 | 51 |

***

# ErF3
Theoretical powder X-ray diffraction pattern, Cu Kα (λ = 1.5418 Å). Input: the PBE geometry in OQMD.

Structure:
```
ErF3
1.0
5.636 0.000 0.000
-2.818 4.881 0.000
0.000 0.000 3.493
Er F
2 6
Direct
0.333 0.667 0.250 Er
0.667 0.333 0.750 Er
0.086 0.392 0.750 F
0.306 0.914 0.750 F
0.392 0.306 0.250 F
0.608 0.694 0.750 F
0.694 0.086 0.250 F
0.914 0.608 0.250 F
```

Principal peaks in the range 2θ from 5° to 70°, by angle:
| 2θ/deg | d_spacing | I_rel |
| --- | --- | --- |
| 18.18 | 4.881 | 94 |
| 31.50 | 2.840 | 100 |
| 31.75 | 2.818 | 62 |
| 45.33 | 2.001 | 63 |
| 56.41 | 1.631 | 57 |
| 56.57 | 1.627 | 21 |

***

# Gd3Ni4Ge
Theoretical powder X-ray diffraction pattern, Cu Kα (λ = 1.5418 Å). Input: the PBE geometry in OQMD.

Structure:
```
Gd3Ni4Ge
1.0
5.246 0.000 0.000
0.000 4.155 0.000
-0.541 0.000 6.704
Gd Ni Ge
3 4 1
Direct
0.000 0.000 0.000 Gd
0.204 0.000 0.487 Gd
0.703 0.500 0.622 Gd
0.234 0.500 0.798 Ni
0.485 0.000 0.911 Ni
0.653 0.000 0.292 Ni
0.943 0.500 0.267 Ni
0.456 0.500 0.151 Ge
```

Principal peaks in the range 2θ from 5° to 70°, by angle:
| 2θ/deg | d_spacing | I_rel |
| --- | --- | --- |
| 31.16 | 2.871 | 54 |
| 34.37 | 2.609 | 100 |
| 37.55 | 2.395 | 48 |
| 39.56 | 2.278 | 51 |
| 42.12 | 2.145 | 64 |
| 43.57 | 2.077 | 61 |